# 1
Simulated PXRD pattern
Compound: LiCd4Ag5
Radiation: Cu Ka
Structure: a structure optimized by DFT (GGA-PBE)
Kinematic intensities with the Lorentz-polarization factor, no thermal factor.

Most intense lines, 15° ≤ 2θ ≤ 90°, by intensity:
2θ = 37.0°, 2.429 Å, I 100, (2 0 1); 2θ = 36.5°, 2.462 Å, I 52, (1 0 -2); 2θ = 37.3°, 2.411 Å, I 50, (0 2 -1); 2θ = 41.2°, 2.191 Å, I 36, (1 0 3); 2θ = 41.4°, 2.183 Å, I 36, (-1 2 1); 2θ = 46.1°, 1.970 Å, I 26, (2 2 0); 2θ = 72.7°, 1.301 Å, I 13, (3 0 4); 2θ = 59.2°, 1.560 Å, I 12, (0 2 4)

Structural model:
a b c (Å): 5.011 5.837 6.962
angles (deg): 76.08 74.67 78.19
Space group P-1 (No. 2)
Asymmetric unit:
Li 0.000 0.000 0.000 x1
Cd 0.195 0.301 0.610 x2
Cd 0.396 0.105 0.196 x2
Ag 0.000 0.500 0.000 x1
Ag 0.202 0.802 0.602 x2
Ag 0.401 0.601 0.197 x2


# 2
Simulated PXRD pattern
Compound: Ta2PtNCl
Radiation: Cu Ka
Structure: a structure optimized by DFT (GGA-PBE)
Kinematic intensities with the Lorentz-polarization factor, no thermal factor.

Most intense lines, 15° ≤ 2θ ≤ 90°, by intensity:
2θ = 34.7°, 2.587 Å, I 100, (2 0 0); 2θ = 24.1°, 3.696 Å, I 87, (0 0 1); 2θ = 42.7°, 2.120 Å, I 80, (2 0 1); 2θ = 17.1°, 5.174 Å, I 44, (1 0 0); 2θ = 29.7°, 3.008 Å, I 38, (1 0 1); 2θ = 61.7°, 1.504 Å, I 38, (2 0 2); 2θ = 56.1°, 1.640 Å, I 37, (2 2 1); 2θ = 49.8°, 1.829 Å, I 36, (2 2 0)

Structural model:
a b c (Å): 5.174 5.174 3.696
angles (deg): 90.00 90.00 90.00
Space group P4/mmm (No. 123)
Asymmetric unit:
Ta 0.000 0.500 0.000 x2
Pt 0.000 0.000 0.000 x1
N 0.000 0.000 0.500 x1
Cl 0.500 0.500 0.500 x1


# 3
Simulated PXRD pattern
Compound: NaSc2I6
Radiation: Cu Ka
Structure: a structure optimized by DFT (GGA-PBE)
Kinematic intensities with the Lorentz-polarization factor, no thermal factor.

Most intense lines, 15° ≤ 2θ ≤ 90°, by intensity:
2θ = 26.2°, 3.399 Å, I 100, (1 1 2); 2θ = 34.7°, 2.584 Å, I 27, (2 -1 4); 2θ = 40.0°, 2.256 Å, I 25, (3 0 0); 2θ = 45.8°, 1.980 Å, I 22, (2 -1 6); 2θ = 25.9°, 3.445 Å, I 18, (0 0 4); 2θ = 48.4°, 1.879 Å, I 17, (4 -2 2); 2θ = 48.2°, 1.887 Å, I 15, (3 0 4); 2θ = 22.8°, 3.908 Å, I 11, (1 1 0)

Structural model:
a b c (Å): 7.8154 7.8154 13.7800
angles (deg): 90.00 90.00 120.00
Space group P31c (No. 159)
Asymmetric unit:
Na 0.3333 0.6667 0.0000 x2
Sc 0.0000 0.0000 0.0017 x2
Sc 0.0000 0.0000 0.2516 x2
I 0.0061 0.6994 0.6270 x6
I 0.0083 0.3078 0.3763 x6


# 4
Simulated PXRD pattern
Compound: Th4In5Bi
Radiation: Cu Ka
Structure: a structure optimized by DFT (GGA-PBE)
Kinematic intensities with the Lorentz-polarization factor, no thermal factor.

Most intense lines, 15° ≤ 2θ ≤ 90°, by intensity:
2θ = 31.3°, 2.859 Å, I 100, (3 0 1); 2θ = 29.0°, 3.074 Å, I 87, (0 4 0); 2θ = 32.9°, 2.720 Å, I 48, (4 0 0); 2θ = 43.2°, 2.094 Å, I 41, (3 4 1); 2θ = 33.5°, 2.677 Å, I 37, (2 3 1); 2θ = 38.8°, 2.321 Å, I 35, (0 0 2); 2θ = 20.8°, 4.270 Å, I 28, (1 0 1); 2θ = 51.8°, 1.765 Å, I 27, (4 0 2)

Structural model:
a b c (Å): 10.888 12.302 4.641
angles (deg): 90.00 90.00 90.00
Space group Pmmn (No. 59, origin choice 2)
Asymmetric unit:
Th 0.048 0.250 0.250 x4
Th 0.250 0.001 0.750 x4
In 0.051 0.570 0.250 x8
In 0.250 0.250 0.750 x2
Bi 0.250 0.750 0.749 x2


# 5
Simulated PXRD pattern
Compound: Pm3Y4TmS8
Radiation: Cu Ka
Structure: a structure optimized by DFT (GGA-PBE)
Kinematic intensities with the Lorentz-polarization factor, no thermal factor.

Most intense lines, 15° ≤ 2θ ≤ 90°, by intensity:
2θ = 32.0°, 2.796 Å, I 100, (0 2 4); 2θ = 45.9°, 1.977 Å, I 71, (2 2 0); 2θ = 27.6°, 3.229 Å, I 62, (2 0 2); 2θ = 76.1°, 1.251 Å, I 31, (2 4 4); 2θ = 54.4°, 1.686 Å, I 30, (2 2 6); 2θ = 57.1°, 1.614 Å, I 18, (4 0 4); 2θ = 85.0°, 1.141 Å, I 18, (6 0 0); 2θ = 66.9°, 1.398 Å, I 11, (0 4 8)

Structural model:
a b c (Å): 7.9044 7.9044 19.3988
angles (deg): 90.00 90.00 120.00
Space group R-3m (No. 166, hexagonal axes)
Asymmetric unit:
Pm 0.0000 0.5000 0.0000 x9
Y 0.0000 0.0000 0.5000 x3
Y 0.0000 0.5000 0.5000 x9
Tm 0.0000 0.0000 0.0000 x3
S 0.0000 0.0000 0.2461 x6
S 0.0089 0.5045 0.7516 x18


# 6
Simulated PXRD pattern
Compound: Pr4ErTm6
Radiation: Cu Ka
Structure: a structure optimized by DFT (GGA-PBE)
Kinematic intensities with the Lorentz-polarization factor, no thermal factor.

Most intense lines, 15° ≤ 2θ ≤ 90°, by intensity:
2θ = 32.8°, 2.734 Å, I 100, (2 2 0); 2θ = 31.6°, 2.831 Å, I 99, (2 0 1); 2θ = 57.7°, 1.597 Å, I 36, (4 2 1); 2θ = 62.6°, 1.483 Å, I 31, (2 2 2); 2θ = 46.2°, 1.967 Å, I 30, (4 0 1); 2θ = 35.7°, 2.514 Å, I 19, (2 1 1); 2θ = 30.1°, 2.967 Å, I 17, (1 1 1); 2θ = 24.9°, 3.580 Å, I 16, (2 1 0)

Structural model:
a b c (Å): 10.9378 10.9378 3.5317
angles (deg): 90.00 90.00 120.00
Space group P-6m2 (No. 187)
Asymmetric unit:
Pr 0.0000 0.0000 0.0000 x1
Pr 0.5283 0.0567 0.5000 x3
Er 0.3333 0.6667 0.0000 x1
Tm 0.1650 0.3300 0.5000 x3
Tm 0.3257 0.1629 0.0000 x3


# 7
Simulated PXRD pattern
Compound: Pu3Co6Ge2
Radiation: Cu Ka
Structure: a structure optimized by DFT (GGA-PBE)
Kinematic intensities with the Lorentz-polarization factor, no thermal factor.

Most intense lines, 15° ≤ 2θ ≤ 90°, by intensity:
2θ = 35.9°, 2.504 Å, I 100, (2 2 2); 2θ = 44.3°, 2.045 Å, I 94, (3 3 0); 2θ = 38.8°, 2.318 Å, I 51, (3 2 1); 2θ = 72.2°, 1.308 Å, I 43, (6 2 2); 2θ = 41.6°, 2.169 Å, I 43, (4 0 0); 2θ = 25.1°, 3.542 Å, I 40, (2 1 1); 2θ = 32.6°, 2.743 Å, I 37, (3 1 0); 2θ = 58.3°, 1.584 Å, I 30, (5 2 1)

Structural model:
a b c (Å): 8.675 8.675 8.675
angles (deg): 90.00 90.00 90.00
Space group Im-3m (No. 229)
Asymmetric unit:
Pu 0.000 0.000 0.266 x12
Co 0.000 0.353 0.353 x24
Ge 0.250 0.250 0.250 x8


# 8
Simulated PXRD pattern
Compound: CsN3Cl12
Radiation: Cu Ka
Structure: a structure optimized by DFT (GGA-PBE)
Kinematic intensities with the Lorentz-polarization factor, no thermal factor.

Most intense lines, 15° ≤ 2θ ≤ 90°, by intensity:
2θ = 16.6°, 5.340 Å, I 100, (1 1 3); 2θ = 21.0°, 4.222 Å, I 82, (1 1 6); 2θ = 25.8°, 3.447 Å, I 70, (3 0 0); 2θ = 33.6°, 2.669 Å, I 67, (1 1 12); 2θ = 17.9°, 4.968 Å, I 60, (2 0 2); 2θ = 35.1°, 2.559 Å, I 47, (0 4 2); 2θ = 29.9°, 2.985 Å, I 40, (2 2 0); 2θ = 30.4°, 2.944 Å, I 36, (1 2 8)

Structural model:
a b c (Å): 11.9408 11.9408 35.8195
angles (deg): 90.00 90.00 120.00
Space group R3c (No. 161, hexagonal axes)
Asymmetric unit:
Cs 0.0000 0.0000 0.0000 x6
N 0.0214 0.3090 0.4029 x18
Cl 0.0049 0.2785 0.5262 x18
Cl 0.0082 0.2940 0.4526 x18
Cl 0.0174 0.5069 0.5521 x18
Cl 0.1045 0.3420 0.7184 x18